Entry 1:
Diffraction record for Tb2PuMn2. The X-ray powder pattern is theoretical, not measured: it uses a PBE-relaxed structure and Cu Kα X-rays.
Intensities are scaled so that the largest is 1000.

The 10 most intense peaks (2θ = 15–90°), sorted by position:
| 2θ/deg | Rel. int. |
| --- | --- |
| 27.2 | 1000 |
| 34.4 | 950 |
| 36.3 | 228 |
| 42.9 | 637 |
| 51.6 | 182 |
| 55.5 | 157 |
| 56.1 | 237 |
| 57.4 | 369 |
| 68.1 | 156 |
| 73.2 | 216 |

Cell and atoms:
a = 4.215 Å, b = 4.215 Å, c = 7.431 Å
α = 90.00°, β = 90.00°, γ = 120.00°
Fractional coordinates of all 5 atoms:
Tb 0.333 0.667 0.318
Tb 0.667 0.333 0.682
Pu 0.000 0.000 0.000
Mn 0.333 0.667 0.920
Mn 0.667 0.333 0.080



Entry 2:
Diffraction record for PuTi8Mn2. The X-ray powder pattern is theoretical, not measured: it uses a PBE-relaxed structure and Cu Kα X-rays.
Intensities are scaled so that the largest is 1000.

The 10 most intense peaks (2θ = 15–90°), sorted by position:
| 2θ/deg | Rel. int. |
| --- | --- |
| 19.9 | 426 |
| 20.3 | 336 |
| 21.4 | 301 |
| 31.5 | 289 |
| 32.3 | 406 |
| 33.2 | 340 |
| 37.5 | 308 |
| 38.5 | 1000 |
| 39.7 | 271 |
| 41.4 | 696 |

Cell and atoms:
a = 9.131 Å, b = 9.131 Å, c = 7.305 Å
α = 112.34°, β = 112.34°, γ = 19.47°
Fractional coordinates of all 11 atoms:
Pu 0.000 0.000 0.000
Ti 0.062 0.291 0.951
Ti 0.189 0.405 0.683
Ti 0.355 0.563 0.287
Ti 0.437 0.645 0.713
Ti 0.595 0.811 0.317
Ti 0.709 0.938 0.049
Ti 0.786 0.009 0.533
Ti 0.991 0.214 0.467
Mn 0.193 0.414 0.294
Mn 0.586 0.807 0.706



Entry 3:
Diffraction record for Pu2MnZn16. The X-ray powder pattern is theoretical, not measured: it uses a PBE-relaxed structure and Cu Kα X-rays.
Intensities are scaled so that the largest is 1000.

The 10 most intense peaks (2θ = 15–90°), sorted by position:
| 2θ/deg | Rel. int. |
| --- | --- |
| 28.3 | 491 |
| 34.6 | 418 |
| 35.5 | 290 |
| 40.2 | 587 |
| 40.3 | 1000 |
| 40.6 | 307 |
| 41.1 | 187 |
| 58.2 | 198 |
| 58.5 | 190 |
| 73.7 | 186 |

Cell and atoms:
a = 6.822 Å, b = 6.822 Å, c = 6.822 Å
α = 82.22°, β = 82.22°, γ = 82.22°
Fractional coordinates of all 19 atoms:
Pu 0.000 0.000 0.000
Pu 0.323 0.323 0.323
Mn 0.565 0.565 0.565
Zn 0.015 0.015 0.499
Zn 0.015 0.499 0.015
Zn 0.163 0.659 0.659
Zn 0.308 0.308 0.811
Zn 0.308 0.811 0.308
Zn 0.367 0.660 0.952
Zn 0.367 0.952 0.660
Zn 0.499 0.015 0.015
Zn 0.659 0.163 0.659
Zn 0.659 0.659 0.163
Zn 0.660 0.367 0.952
Zn 0.660 0.952 0.367
Zn 0.766 0.766 0.766
Zn 0.811 0.308 0.308
Zn 0.952 0.367 0.660
Zn 0.952 0.660 0.367



Entry 4:
Diffraction record for RbMn2Ru. The X-ray powder pattern is theoretical, not measured: it uses a PBE-relaxed structure and Cu Kα X-rays.
Intensities are scaled so that the largest is 1000.

The 10 most intense peaks (2θ = 15–90°), sorted by position:
| 2θ/deg | Rel. int. |
| --- | --- |
| 16.9 | 360 |
| 25.4 | 1000 |
| 32.0 | 272 |
| 34.1 | 160 |
| 39.9 | 293 |
| 42.2 | 250 |
| 47.5 | 110 |
| 52.1 | 330 |
| 53.2 | 250 |
| 64.1 | 141 |

Cell and atoms:
a = 5.591 Å, b = 5.591 Å, c = 15.305 Å
α = 90.00°, β = 90.00°, γ = 90.00°
Fractional coordinates of all 16 atoms:
Rb 0.000 0.250 0.375
Rb 0.000 0.750 0.625
Rb 0.500 0.250 0.125
Rb 0.500 0.750 0.875
Mn 0.000 0.000 0.000
Mn 0.000 0.500 0.000
Mn 0.250 0.250 0.750
Mn 0.250 0.750 0.250
Mn 0.500 0.000 0.500
Mn 0.500 0.500 0.500
Mn 0.750 0.250 0.750
Mn 0.750 0.750 0.250
Ru 0.000 0.250 0.875
Ru 0.000 0.750 0.125
Ru 0.500 0.250 0.625
Ru 0.500 0.750 0.375